For SiAg2AsSe4, a crystal structure in Alexandria, relaxed with PBE gives the simulated PXRD pattern in this record (λ = 1.5418 Å (Cu Kα)).
Peak positions follow from Bragg's law for the DFT cell and can differ from measured ones.

Principal peaks in the range 15 to 90 degrees two-theta, sorted by position:
- hkl 0 1 0, 15.17 deg, I 52.6
- hkl 1 0 0, 15.49 deg, I 60.0
- hkl 0 1 1, 20.08 deg, I 37.1
- hkl -1 1 1, 23.52 deg, I 54.3
- hkl 1 1 -1, 25.66 deg, I 83.7
- hkl 0 0 2, 25.94 deg, I 43.1
- hkl 1 1 1, 27.27 deg, I 100.0
- hkl 1 -2 0, 32.74 deg, I 34.9
- hkl 1 1 -2, 33.68 deg, I 50.3
- hkl 0 3 -1, 48.41 deg, I 36.1

Structural model:
abc: 5.7856 5.8822 6.8975
angles: 90.09 95.22 96.83
Space group P1 (No. 1)
Symmetry-distinct sites (fractional):
1 Si 0.0000 0.0000 0.0000 (multiplicity 1)
2 Ag 0.4797 0.0323 0.7135 (multiplicity 1)
3 Ag 0.5239 0.4537 0.0378 (multiplicity 1)
4 As 0.4617 0.1613 0.3420 (multiplicity 1)
5 Se 0.1605 0.2715 0.8003 (multiplicity 1)
6 Se 0.2611 0.8082 0.2018 (multiplicity 1)
7 Se 0.7603 0.7409 0.8100 (multiplicity 1)
8 Se 0.8650 0.2357 0.2347 (multiplicity 1)